Starting from a GGA-PBE-relaxed structure, the powder X-ray diffraction pattern of NdYRh was calculated for λ = 1.5418 Å (Cu Kα).
Peak positions follow from Bragg's law for the DFT cell and can differ from measured ones.

Peak list (10 most intense, 2θ = 10–90°, by angle)
Position (°2θ), Rel. int.
15.96, 185
24.78, 199
26.48, 244
32.47, 1000
42.55, 469
50.35, 280
54.53, 222
68.04, 75
83.12, 122
83.57, 81

a = 11.3711 Å, b = 4.2436 Å, c = 7.3687 Å
α = 90.00°, β = 102.42°, γ = 90.00°
Element x y z (fractional)
Nd 0.1227 0.0000 0.3650
Nd 0.3773 0.5000 0.6350
Nd 0.6227 0.5000 0.3650
Nd 0.8773 0.0000 0.6350
Y 0.1280 0.5000 0.8864
Y 0.3720 0.0000 0.1136
Y 0.6280 0.0000 0.8864
Y 0.8720 0.5000 0.1136
Rh 0.2415 0.0000 0.7484
Rh 0.2585 0.5000 0.2516
Rh 0.7415 0.5000 0.7484
Rh 0.7585 0.0000 0.2516